(1)
Starting from DFT lattice parameters and positions (PBE), the XRD peak list of U4As2H was simulated for Cu Kα.
Neutral-atom scattering factors, no anomalous dispersion.

Peak list (12 most intense, 2θ from 10° to 80°, sorted by position)
hkl 0 0 2, 11.74°, d 7.540, rel. 25; hkl 1 0 3, 27.58°, d 3.234, rel. 29; hkl 1 1 2, 32.23°, d 2.778, rel. 100; hkl 0 0 6, 35.73°, d 2.513, rel. 40; hkl 1 1 4, 38.44°, d 2.342, rel. 97; hkl 2 0 0, 42.80°, d 2.113, rel. 55; hkl 2 0 6, 56.94°, d 1.617, rel. 43; hkl 2 2 0, 62.13°, d 1.494, rel. 19; hkl 1 1 10, 69.87°, d 1.346, rel. 20; hkl 3 1 2, 71.74°, d 1.316, rel. 22; hkl 2 2 6, 73.79°, d 1.284, rel. 21; hkl 3 1 4, 75.49°, d 1.259, rel. 29

Structure:
Cell lengths 4.225, 4.225, 15.079 Å; angles 90.00, 90.00, 90.00 degrees
Space group I4/mmm (No. 139)
Asymmetric unit:
U (0.000, 0.000, 0.162) (multiplicity 4)
U (0.000, 0.500, 0.000) (multiplicity 4)
As (0.000, 0.000, 0.357) (multiplicity 4)
H (0.000, 0.000, 0.000) (multiplicity 2)



(2)
Starting from DFT lattice parameters and positions (PBE), the XRD peak list of La2Ge5Os was simulated for Cu Kα.
Neutral-atom scattering factors, no anomalous dispersion.

Peak list (12 most intense, 2θ from 10° to 80°, sorted by position)
hkl 1 0 1, 17.20°, d 5.154, rel. 44; hkl 1 1 2, 27.99°, d 3.188, rel. 100; hkl 2 0 0, 28.84°, d 3.096, rel. 20; hkl 2 1 1, 33.77°, d 2.654, rel. 48; hkl 2 0 2, 34.81°, d 2.577, rel. 72; hkl 0 0 4, 38.73°, d 2.325, rel. 39; hkl 2 2 0, 41.24°, d 2.189, rel. 71; hkl 2 1 3, 43.84°, d 2.065, rel. 28; hkl 3 0 1, 44.99°, d 2.015, rel. 23; hkl 3 1 2, 50.58°, d 1.805, rel. 30; hkl 2 2 4, 57.85°, d 1.594, rel. 42; hkl 4 0 0, 59.74°, d 1.548, rel. 21

Structure:
Cell lengths 6.192, 6.192, 9.301 Å; angles 90.00, 90.00, 90.00 degrees
Space group I4mm (No. 107)
Asymmetric unit:
La (0.000, 0.500, 0.000) (multiplicity 4)
Ge (0.000, 0.000, 0.452) (multiplicity 2)
Ge (0.216, 0.216, 0.243) (multiplicity 8)
Os (0.000, 0.000, 0.713) (multiplicity 2)



(3)
Starting from DFT lattice parameters and positions (PBE), the XRD peak list of Ba14Na14LiN6 was simulated for Cu Kα.
Neutral-atom scattering factors, no anomalous dispersion.

Peak list (12 most intense, 2θ from 10° to 80°, sorted by position)
hkl 2 2 2, 17.26°, d 5.137, rel. 26; hkl 4 2 2, 24.50°, d 3.633, rel. 24; hkl 5 1 1, 26.02°, d 3.425, rel. 100; hkl 4 4 0, 28.37°, d 3.146, rel. 77; hkl 6 4 0, 36.41°, d 2.468, rel. 31; hkl 5 5 3, 38.87°, d 2.317, rel. 25; hkl 6 6 0, 43.13°, d 2.097, rel. 18; hkl 5 5 5, 44.07°, d 2.055, rel. 23; hkl 9 5 1, 53.24°, d 1.720, rel. 41; hkl 10 4 4, 59.70°, d 1.549, rel. 13; hkl 10 6 4, 64.56°, d 1.443, rel. 14; hkl 9 9 5, 72.65°, d 1.301, rel. 13

Structure:
Cell lengths 17.796, 17.796, 17.796 Å; angles 90.00, 90.00, 90.00 degrees
Space group Fm-3m (No. 225)
Asymmetric unit:
Ba (0.000, 0.000, 0.211) (multiplicity 24)
Ba (0.104, 0.104, 0.396) (multiplicity 32)
Na (0.000, 0.250, 0.250) (multiplicity 24)
Na (0.172, 0.172, 0.172) (multiplicity 32)
Li (0.000, 0.000, 0.500) (multiplicity 4)
N (0.000, 0.000, 0.352) (multiplicity 24)



(4)
Starting from DFT lattice parameters and positions (PBE), the XRD peak list of LiTl2In was simulated for Cu Kα.
Neutral-atom scattering factors, no anomalous dispersion.

Peak list (12 most intense, 2θ from 10° to 80°, sorted by position)
hkl 1 0 1, 21.41°, d 4.151, rel. 48; hkl 1 1 2, 33.09°, d 2.707, rel. 100; hkl 1 0 3, 33.45°, d 2.679, rel. 16; hkl 0 0 4, 36.23°, d 2.479, rel. 20; hkl 2 0 0, 39.43°, d 2.285, rel. 31; hkl 2 1 1, 45.30°, d 2.002, rel. 14; hkl 2 1 3, 52.65°, d 1.738, rel. 9; hkl 2 0 4, 54.62°, d 1.680, rel. 24; hkl 2 2 0, 56.99°, d 1.616, rel. 11; hkl 1 1 6, 63.18°, d 1.472, rel. 16; hkl 3 1 2, 67.50°, d 1.388, rel. 26; hkl 2 2 4, 69.43°, d 1.354, rel. 14

Structure:
Cell lengths 4.570, 4.570, 9.917 Å; angles 90.00, 90.00, 90.00 degrees
Space group I-4m2 (No. 119)
Asymmetric unit:
Li (0.000, 0.000, 0.000) (multiplicity 2)
Tl (0.000, 0.000, 0.500) (multiplicity 2)
Tl (0.000, 0.500, 0.750) (multiplicity 2)
In (0.000, 0.500, 0.250) (multiplicity 2)



(5)
Starting from DFT lattice parameters and positions (PBE), the XRD peak list of Ge2Pd7Au was simulated for Cu Kα.
Neutral-atom scattering factors, no anomalous dispersion.

Peak list (12 most intense, 2θ from 10° to 80°, sorted by position)
hkl 1 0 3, 25.67°, d 3.470, rel. 20; hkl 1 1 2, 32.37°, d 2.766, rel. 19; hkl 1 1 4, 36.05°, d 2.492, rel. 23; hkl 0 0 8, 36.15°, d 2.485, rel. 12; hkl 1 1 6, 41.55°, d 2.174, rel. 100; hkl 2 0 0, 44.49°, d 2.036, rel. 49; hkl 2 0 8, 58.61°, d 1.575, rel. 12; hkl 2 2 0, 64.74°, d 1.440, rel. 16; hkl 2 0 12, 73.73°, d 1.285, rel. 10; hkl 1 1 14, 74.51°, d 1.274, rel. 10; hkl 2 2 8, 76.42°, d 1.246, rel. 10; hkl 3 1 6, 79.91°, d 1.200, rel. 29

Structure:
Cell lengths 4.073, 4.073, 19.879 Å; angles 90.00, 90.00, 90.00 degrees
Space group I4/mmm (No. 139)
Asymmetric unit:
Ge (0.000, 0.000, 0.173) (multiplicity 4)
Pd (0.000, 0.000, 0.000) (multiplicity 2)
Pd (0.000, 0.500, 0.101) (multiplicity 8)
Pd (0.000, 0.500, 0.250) (multiplicity 4)
Au (0.000, 0.000, 0.500) (multiplicity 2)



(6)
Starting from DFT lattice parameters and positions (PBE), the XRD peak list of CeThSeS was simulated for Cu Kα.
Neutral-atom scattering factors, no anomalous dispersion.

Peak list (12 most intense, 2θ from 10° to 80°, sorted by position)
hkl 0 0 6, 24.27°, d 3.668, rel. 20; hkl 1 0 1, 26.16°, d 3.406, rel. 50; hkl 0 1 2, 27.10°, d 3.290, rel. 35; hkl 1 0 4, 30.60°, d 2.921, rel. 39; hkl 0 1 5, 33.00°, d 2.714, rel. 100; hkl 1 0 7, 38.76°, d 2.323, rel. 35; hkl 1 1 0, 45.57°, d 1.990, rel. 48; hkl 1 0 10, 49.11°, d 1.855, rel. 20; hkl 1 1 6, 52.29°, d 1.749, rel. 16; hkl 2 0 5, 57.41°, d 1.605, rel. 21; hkl 1 1 12, 69.72°, d 1.349, rel. 20; hkl 1 2 5, 76.20°, d 1.249, rel. 18

Structure:
Cell lengths 3.9809, 3.9809, 22.0071 Å; angles 90.00, 90.00, 120.00 degrees
Space group R3m (No. 160, hexagonal axes)
Asymmetric unit:
Ce (0.0000, 0.0000, 0.0000) (multiplicity 3)
Th (0.0000, 0.0000, 0.8159) (multiplicity 3)
Se (0.0000, 0.0000, 0.2394) (multiplicity 3)
S (0.0000, 0.0000, 0.4068) (multiplicity 3)



(7)
Starting from DFT lattice parameters and positions (PBE), the XRD peak list of Ac2LaPm2Dy was simulated for Cu Kα.
Neutral-atom scattering factors, no anomalous dispersion.

Peak list (12 most intense, 2θ from 10° to 80°, sorted by position)
hkl 2 0 0, 24.09°, d 3.695, rel. 6; hkl 2 0 2, 29.76°, d 3.002, rel. 93; hkl 0 2 0, 30.05°, d 2.973, rel. 100; hkl 2 2 0, 38.88°, d 2.317, rel. 9; hkl 2 2 2, 42.80°, d 2.113, rel. 35; hkl 4 0 0, 49.33°, d 1.848, rel. 9; hkl 2 1 5, 53.18°, d 1.722, rel. 37; hkl 0 3 3, 53.37°, d 1.717, rel. 20; hkl 4 2 0, 58.85°, d 1.569, rel. 30; hkl 0 2 6, 62.50°, d 1.486, rel. 8; hkl 2 3 5, 70.68°, d 1.333, rel. 11; hkl 4 3 3, 75.61°, d 1.258, rel. 15

Structure:
Cell lengths 7.390, 5.953, 10.290 Å; angles 90.00, 90.00, 90.00 degrees
Space group Pmma (No. 51)
Asymmetric unit:
Ac (0.000, 0.000, 0.000) (multiplicity 2)
Ac (0.250, 0.500, 0.172) (multiplicity 2)
La (0.000, 0.500, 0.500) (multiplicity 2)
Pm (0.250, 0.000, 0.342) (multiplicity 2)
Pm (0.250, 0.500, 0.826) (multiplicity 2)
Dy (0.250, 0.000, 0.665) (multiplicity 2)



(8)
Starting from DFT lattice parameters and positions (PBE), the XRD peak list of CeTh2Se6 was simulated for Cu Kα.
Neutral-atom scattering factors, no anomalous dispersion.

Peak list (12 most intense, 2θ from 10° to 80°, sorted by position)
hkl 1 1 0, 23.15°, d 3.842, rel. 51; hkl 0 1 1, 23.47°, d 3.790, rel. 56; hkl 1 1 1, 30.28°, d 2.952, rel. 47; hkl 2 0 1, 33.20°, d 2.698, rel. 100; hkl 0 0 2, 39.06°, d 2.306, rel. 18; hkl 3 0 0, 40.68°, d 2.218, rel. 51; hkl 3 -2 1, 40.87°, d 2.208, rel. 69; hkl 0 1 2, 41.44°, d 2.179, rel. 22; hkl 3 -2 2, 53.95°, d 1.700, rel. 19; hkl 0 3 2, 57.67°, d 1.599, rel. 16; hkl 4 1 0, 64.14°, d 1.452, rel. 16; hkl 2 3 1, 64.28°, d 1.449, rel. 33

Structure:
Cell lengths 7.6830, 7.6830, 4.6119 Å; angles 90.00, 90.00, 120.00 degrees
Space group P-3 (No. 147)
Asymmetric unit:
Ce (0.0000, 0.0000, 0.0000) (multiplicity 1)
Th (0.3333, 0.6667, 0.2467) (multiplicity 2)
Se (0.0829, 0.3810, 0.7490) (multiplicity 6)